The following is a calculated powder diffraction line list of Cs3Cd2Cl8. It was derived from a PBE-relaxed structure, using λ = 1.5418 Å (Cu Kα).
Intensities are scaled so that the largest is 100.

Atomic structure:
```
Cs3Cd2Cl8
1.0
3.7169 2.1459 9.9912
-3.7169 2.1459 9.9912
0.0000 -4.2919 9.9912
Cs Cd Cl
3 2 8
Cartesian
0.0000 0.0000 0.0000
0.0000 0.0000 6.1704
0.0000 0.0000 23.8033
0.0000 0.0000 12.0620
0.0000 0.0000 17.9116
-1.9701 -1.1375 16.8962
0.0000 -2.2749 13.0775
-1.9701 1.1375 13.0775
0.0000 0.0000 9.6168
0.0000 0.0000 20.3569
1.9701 -1.1375 16.8962
0.0000 2.2749 16.8962
1.9701 1.1375 13.0774
```

Peak list (6 most intense, 2θ = 10–80°, by angle)
2θ (°), I/Imax
20.24, 93.9
23.94, 100.0
31.55, 58.9
32.96, 49.1
39.99, 39.5
48.17, 28.0